This entry pairs a crystal structure of Sm3Y2Hg3 with its calculated XRD peak list. Radiation: CuKα. Structure: a structure optimized by DFT (GGA-PBE).

Cell and atoms:
```
8
Lattice="-1.888 2.709 11.166 1.888 -2.709 11.166 1.888 2.709 -11.166" Properties=species:S:1:pos:R:3 pbc="T T T"
Sm 0.000 0.000 0.000
Sm 1.888 0.000 8.457
Sm 0.000 2.709 2.709
Y 0.000 0.000 5.192
Y 0.000 0.000 17.140
Hg 1.888 0.000 2.697
Hg 0.000 0.000 11.166
Hg 0.000 2.709 8.469
```

Top 10 peaks for 2θ from 10° to 80°, by angle:
- 32.1°, d 2.792, rel. 19
- 33.1°, d 2.709, rel. 100
- 37.8°, d 2.381, rel. 4
- 46.7°, d 1.944, rel. 14
- 48.2°, d 1.888, rel. 7
- 57.8°, d 1.595, rel. 13
- 59.1°, d 1.564, rel. 22
- 59.7°, d 1.549, rel. 8
- 69.4°, d 1.355, rel. 11
- 77.9°, d 1.226, rel. 5